Entry 1:
Diffraction record for HoTmAg2Sn2. The XRD peak list is theoretical, not measured: it uses the GGA-PBE geometry in OQMD and λ = 1.5418 Å (Cu Kα).
Lines closer than 0.1° are merged.

Atomic structure:
```
6
Lattice="4.714 0.000 0.000 -2.357 4.082 0.000 0.000 0.000 7.279" Properties=species:S:1:pos:R:3 pbc="T T T"
Ho 0.000 0.000 0.000
Tm 0.000 0.000 3.642
Ag 0.000 2.722 1.382
Ag 2.357 1.361 5.011
Sn 0.000 2.722 5.670
Sn 2.357 1.361 2.039
```

Largest 6 diffraction maxima, in order of rising 2θ, 2θ from 10° to 90°:
| 2θ (°) | intensity |
| --- | --- |
| 32.97 | 100 |
| 38.18 | 78 |
| 43.38 | 16 |
| 51.32 | 29 |
| 64.72 | 14 |
| 65.73 | 27 |

***

Entry 2:
Diffraction record for YHoAg2Sn2. The XRD peak list is theoretical, not measured: it uses the GGA-PBE geometry in OQMD and λ = 1.5418 Å (Cu Kα).
Lines closer than 0.1° are merged.

Atomic structure:
```
6
Lattice="4.731 0.000 0.000 -2.365 4.097 0.000 0.000 0.000 7.318" Properties=species:S:1:pos:R:3 pbc="T T T"
Y 0.000 0.000 0.000
Ho 0.000 0.000 3.661
Ag 0.000 2.731 1.397
Ag 2.365 1.366 5.046
Sn 0.000 2.731 5.701
Sn 2.365 1.366 2.051
```

Largest 6 diffraction maxima, in order of rising 2θ, 2θ from 10° to 90°:
| 2θ (°) | intensity |
| --- | --- |
| 24.91 | 18 |
| 32.82 | 100 |
| 38.04 | 86 |
| 43.16 | 23 |
| 51.10 | 28 |
| 65.45 | 27 |

***

Entry 3:
Diffraction record for SrHo4Ag. The XRD peak list is theoretical, not measured: it uses the GGA-PBE geometry in OQMD and λ = 1.5418 Å (Cu Kα).
Lines closer than 0.1° are merged.

Atomic structure:
```
6
Lattice="2.784 1.607 7.228 -2.784 1.607 7.228 0.000 -3.215 7.228" Properties=species:S:1:pos:R:3 pbc="T T T"
Sr 0.000 0.000 0.000
Ho 0.000 0.000 4.550
Ho 0.000 0.000 8.075
Ho 0.000 0.000 13.608
Ho 0.000 0.000 17.134
Ag 0.000 0.000 10.842
```

Largest 6 diffraction maxima, in order of rising 2θ, 2θ from 10° to 90°:
| 2θ (°) | intensity |
| --- | --- |
| 27.67 | 50 |
| 32.15 | 100 |
| 34.41 | 41 |
| 47.81 | 16 |
| 57.32 | 19 |
| 58.78 | 18 |